# 1
This entry pairs a crystal structure of V2O5 with its calculated powder X-ray diffraction pattern. Radiation: Cu Kα, 1.54184 Å. Structure: a DFT-relaxed cell (PBE+U, the Materials Project).

Structural model:
```
data_V2O5
_symmetry_space_group_name_H-M 'C 1 2/c 1'
_symmetry_Int_Tables_number 15
_cell_length_a 12.051
_cell_length_b 4.724
_cell_length_c 5.392
_cell_angle_alpha 90.00
_cell_angle_beta 103.65
_cell_angle_gamma 90.00
loop_
_symmetry_equiv_pos_as_xyz
'x,y,z'
'-x,-y,-z'
'-x,y,-z+1/2'
'x,-y,z+1/2'
'x+1/2,y+1/2,z'
'-x+1/2,-y+1/2,-z'
'-x+1/2,y+1/2,-z+1/2'
'x+1/2,-y+1/2,z+1/2'
loop_
_atom_site_label
_atom_site_type_symbol
_atom_site_fract_x
_atom_site_fract_y
_atom_site_fract_z
V1 V 0.143 0.240 0.247
O1 O 0.000 0.115 0.250
O2 O 0.110 0.440 0.982
O3 O 0.203 0.070 0.632
```

The 8 most intense peaks (2θ from 5° to 70°), in order of rising 2θ:
- 25.32 deg, d 3.517, rel. 100, (1 1 -1)
- 27.67 deg, d 3.224, rel. 78, (1 1 1)
- 30.53 deg, d 2.928, rel. 52, (4 0 0)
- 31.47 deg, d 2.842, rel. 88, (3 1 -1)
- 34.22 deg, d 2.620, rel. 34, (0 0 2)
- 52.13 deg, d 1.754, rel. 33, (0 2 2)
- 56.75 deg, d 1.622, rel. 30, (4 2 -2)
- 57.13 deg, d 1.612, rel. 32, (7 1 -1)


# 2
This entry pairs a crystal structure of V3O7 with its calculated powder X-ray diffraction pattern. Radiation: Cu Kα, 1.54184 Å. Structure: a DFT-relaxed cell (PBE+U, the Materials Project).

Structural model:
```
data_V3O7
_symmetry_space_group_name_H-M 'I 4/m m m'
_symmetry_Int_Tables_number 139
_symmetry_space_group_name_Hall '-I 4 2'
_cell_length_a 14.187
_cell_length_b 14.187
_cell_length_c 3.654
_cell_angle_alpha 90.00
_cell_angle_beta 90.00
_cell_angle_gamma 90.00
loop_
_atom_site_label
_atom_site_type_symbol
_atom_site_fract_x
_atom_site_fract_y
_atom_site_fract_z
V1 V 0.000 0.000 0.000
V2 V 0.000 0.365 0.000
V3 V 0.184 0.184 0.000
O1 O 0.000 0.000 0.500
O2 O 0.000 0.407 0.500
O3 O 0.093 0.291 0.000
O4 O 0.099 0.099 0.000
O5 O 0.207 0.207 0.500
```

The 8 most intense peaks (2θ from 5° to 70°), in order of rising 2θ:
- 8.81 deg, d 10.032, rel. 32, (1 1 0)
- 17.68 deg, d 5.016, rel. 41, (2 2 0)
- 25.17 deg, d 3.538, rel. 56, (1 0 1)
- 26.66 deg, d 3.344, rel. 100, (3 3 0)
- 33.47 deg, d 2.677, rel. 39, (3 2 1)
- 45.19 deg, d 2.006, rel. 41, (5 5 0)
- 49.92 deg, d 1.827, rel. 23, (0 0 2)
- 56.58 deg, d 1.627, rel. 26, (6 5 1)


# 3
This entry pairs a crystal structure of VO2 with its calculated powder X-ray diffraction pattern. Radiation: Cu Kα, 1.54184 Å. Structure: a DFT-relaxed cell (PBE+U, the Materials Project).

Structural model:
```
data_VO2
_symmetry_space_group_name_H-M 'P 1 21/c 1'
_symmetry_Int_Tables_number 14
_cell_length_a 5.484
_cell_length_b 5.150
_cell_length_c 9.219
_cell_angle_alpha 90.00
_cell_angle_beta 90.58
_cell_angle_gamma 90.00
loop_
_symmetry_equiv_pos_as_xyz
'x,y,z'
'-x,-y,-z'
'-x,y+1/2,-z+1/2'
'x,-y+1/2,z+1/2'
loop_
_atom_site_label
_atom_site_type_symbol
_atom_site_fract_x
_atom_site_fract_y
_atom_site_fract_z
V1 V 0.098 0.143 0.127
V2 V 0.390 0.631 0.130
O1 O 0.111 0.039 0.730
O2 O 0.145 0.687 0.504
O3 O 0.350 0.171 0.515
O4 O 0.387 0.545 0.725
```

The 8 most intense peaks (2θ from 5° to 70°), in order of rising 2θ:
- 25.11 deg, d 3.546, rel. 100, (1 0 -2)
- 25.37 deg, d 3.511, rel. 87, (1 0 2)
- 25.56 deg, d 3.485, rel. 51, (1 1 -1)
- 25.68 deg, d 3.469, rel. 72, (1 1 1)
- 30.61 deg, d 2.921, rel. 78, (1 1 -2)
- 30.82 deg, d 2.901, rel. 82, (1 1 2)
- 36.22 deg, d 2.480, rel. 39, (0 2 1)
- 45.98 deg, d 1.974, rel. 38, (0 2 3)


What did the first record say?
This entry pairs a crystal structure of V2O5 with its calculated powder X-ray diffraction pattern. Radiation: Cu Kα, 1.54184 Å. Structure: a DFT-relaxed cell (PBE+U, the Materials Project).

Structural model:
```
data_V2O5
_symmetry_space_group_name_H-M 'C 1 2/c 1'
_symmetry_Int_Tables_number 15
_cell_length_a 12.051
_cell_length_b 4.724
_cell_length_c 5.392
_cell_angle_alpha 90.00
_cell_angle_beta 103.65
_cell_angle_gamma 90.00
loop_
_symmetry_equiv_pos_as_xyz
'x,y,z'
'-x,-y,-z'
'-x,y,-z+1/2'
'x,-y,z+1/2'
'x+1/2,y+1/2,z'
'-x+1/2,-y+1/2,-z'
'-x+1/2,y+1/2,-z+1/2'
'x+1/2,-y+1/2,z+1/2'
loop_
_atom_site_label
_atom_site_type_symbol
_atom_site_fract_x
_atom_site_fract_y
_atom_site_fract_z
V1 V 0.143 0.240 0.247
O1 O 0.000 0.115 0.250
O2 O 0.110 0.440 0.982
O3 O 0.203 0.070 0.632
```

The 8 most intense peaks (2θ from 5° to 70°), in order of rising 2θ:
- 25.32 deg, d 3.517, rel. 100, (1 1 -1)
- 27.67 deg, d 3.224, rel. 78, (1 1 1)
- 30.53 deg, d 2.928, rel. 52, (4 0 0)
- 31.47 deg, d 2.842, rel. 88, (3 1 -1)
- 34.22 deg, d 2.620, rel. 34, (0 0 2)
- 52.13 deg, d 1.754, rel. 33, (0 2 2)
- 56.75 deg, d 1.622, rel. 30, (4 2 -2)
- 57.13 deg, d 1.612, rel. 32, (7 1 -1)


- Which formula does entry 3 have?
  VO2


Copy entry 2 word for word.
This entry pairs a crystal structure of V3O7 with its calculated powder X-ray diffraction pattern. Radiation: Cu Kα, 1.54184 Å. Structure: a DFT-relaxed cell (PBE+U, the Materials Project).

Structural model:
```
data_V3O7
_symmetry_space_group_name_H-M 'I 4/m m m'
_symmetry_Int_Tables_number 139
_symmetry_space_group_name_Hall '-I 4 2'
_cell_length_a 14.187
_cell_length_b 14.187
_cell_length_c 3.654
_cell_angle_alpha 90.00
_cell_angle_beta 90.00
_cell_angle_gamma 90.00
loop_
_atom_site_label
_atom_site_type_symbol
_atom_site_fract_x
_atom_site_fract_y
_atom_site_fract_z
V1 V 0.000 0.000 0.000
V2 V 0.000 0.365 0.000
V3 V 0.184 0.184 0.000
O1 O 0.000 0.000 0.500
O2 O 0.000 0.407 0.500
O3 O 0.093 0.291 0.000
O4 O 0.099 0.099 0.000
O5 O 0.207 0.207 0.500
```

The 8 most intense peaks (2θ from 5° to 70°), in order of rising 2θ:
- 8.81 deg, d 10.032, rel. 32, (1 1 0)
- 17.68 deg, d 5.016, rel. 41, (2 2 0)
- 25.17 deg, d 3.538, rel. 56, (1 0 1)
- 26.66 deg, d 3.344, rel. 100, (3 3 0)
- 33.47 deg, d 2.677, rel. 39, (3 2 1)
- 45.19 deg, d 2.006, rel. 41, (5 5 0)
- 49.92 deg, d 1.827, rel. 23, (0 0 2)
- 56.58 deg, d 1.627, rel. 26, (6 5 1)